Starting from a DFT-relaxed cell (PBE, Alexandria), the X-ray diffraction stick pattern of Ho4InBi3 was calculated for λ = 1.5418 Å (Cu Kα).
Kinematic intensities with the Lorentz-polarization factor, no thermal factor.

abc: 6.286 6.286 6.286
angles: 90.00 90.00 90.00
Space group Pm-3m (No. 221)
Asymmetric unit:
Ho  0.000  0.000  0.000 [1 per cell]
Ho  0.000  0.500  0.500 [3 per cell]
In  0.500  0.500  0.500 [1 per cell]
Bi  0.000  0.000  0.500 [3 per cell]

Peak list (10 most intense, 15° ≤ 2θ ≤ 90°, most intense first)
| index | 2θ/deg | d (Å) | I_rel |
| --- | --- | --- | --- |
| 2 0 0 | 28.40 | 3.143 | 100 |
| 2 2 0 | 40.59 | 2.222 | 78 |
| 4 2 0 | 66.52 | 1.406 | 37 |
| 2 2 2 | 50.28 | 1.815 | 28 |
| 4 2 2 | 73.86 | 1.283 | 27 |
| 4 0 0 | 58.76 | 1.571 | 13 |
| 4 4 0 | 87.86 | 1.111 | 9 |
| 1 1 0 | 19.98 | 4.445 | 2 |
| 2 1 0 | 31.83 | 2.811 | 1 |
| 2 1 1 | 34.96 | 2.566 | 1 |



Starting from a DFT-relaxed cell (PBE, Alexandria), the X-ray diffraction stick pattern of Pr12Y7Tl was calculated for λ = 1.5418 Å (Cu Kα).
Kinematic intensities with the Lorentz-polarization factor, no thermal factor.

abc: 12.4667 12.4667 15.3898
angles: 90.00 90.00 120.00
Space group R-3 (No. 148, hexagonal axes)
Asymmetric unit:
Pr  0.0253  0.4453  0.2095 [18 per cell]
Pr  0.0591  0.5914  0.5844 [18 per cell]
Y  0.0000  0.0000  0.0000 [3 per cell]
Y  0.0479  0.1834  0.3060 [18 per cell]
Tl  0.0000  0.0000  0.5000 [3 per cell]

Peak list (10 most intense, 15° ≤ 2θ ≤ 90°, most intense first)
| index | 2θ/deg | d (Å) | I_rel |
| --- | --- | --- | --- |
| 4 -3 1 | 30.39 | 2.941 | 100 |
| 3 -1 4 | 31.97 | 2.799 | 45 |
| 3 1 2 | 32.07 | 2.791 | 41 |
| 2 5 0 | 52.94 | 1.730 | 25 |
| 0 1 5 | 30.19 | 2.960 | 23 |
| 2 0 5 | 33.51 | 2.674 | 20 |
| 1 3 4 | 38.12 | 2.361 | 19 |
| 5 -4 6 | 52.76 | 1.735 | 14 |
| 2 -1 6 | 37.93 | 2.372 | 12 |
| 2 2 3 | 33.66 | 2.662 | 11 |



Starting from a DFT-relaxed cell (PBE, Alexandria), the X-ray diffraction stick pattern of Y2MgCoPb was calculated for λ = 1.5418 Å (Cu Kα).
Kinematic intensities with the Lorentz-polarization factor, no thermal factor.

abc: 5.100 5.100 4.919
angles: 90.00 90.00 90.00
Space group P4/mmm (No. 123)
Asymmetric unit:
Y  0.000  0.500  0.000 [2 per cell]
Mg  0.000  0.000  0.500 [1 per cell]
Co  0.000  0.000  0.000 [1 per cell]
Pb  0.500  0.500  0.500 [1 per cell]

Peak list (10 most intense, 15° ≤ 2θ ≤ 90°, most intense first)
| index | 2θ/deg | d (Å) | I_rel |
| --- | --- | --- | --- |
| 1 1 1 | 30.74 | 2.908 | 100 |
| 1 0 1 | 25.15 | 3.541 | 78 |
| 2 0 0 | 35.20 | 2.550 | 64 |
| 2 0 2 | 51.63 | 1.770 | 43 |
| 2 1 1 | 43.75 | 2.069 | 37 |
| 3 1 1 | 60.41 | 1.532 | 30 |
| 0 0 2 | 36.53 | 2.460 | 29 |
| 2 2 0 | 50.63 | 1.803 | 23 |
| 2 2 2 | 64.03 | 1.454 | 22 |
| 1 0 0 | 17.39 | 5.100 | 20 |



Starting from a DFT-relaxed cell (PBE, Alexandria), the X-ray diffraction stick pattern of Li8Hg2Pb3 was calculated for λ = 1.5418 Å (Cu Kα).
Kinematic intensities with the Lorentz-polarization factor, no thermal factor.

abc: 5.6593 5.6593 29.8885
angles: 90.00 90.00 120.00
Space group R-3m (No. 166, hexagonal axes)
Asymmetric unit:
Li  0.0000  0.0000  0.2190 [6 per cell]
Li  0.0072  0.5036  0.2734 [18 per cell]
Hg  0.0000  0.0000  0.1289 [6 per cell]
Pb  0.0000  0.0000  0.3144 [6 per cell]
Pb  0.0000  0.0000  0.5000 [3 per cell]

Peak list (10 most intense, 15° ≤ 2θ ≤ 90°, most intense first)
| index | 2θ/deg | d (Å) | I_rel |
| --- | --- | --- | --- |
| 0 1 5 | 23.47 | 3.790 | 100 |
| 1 1 0 | 31.62 | 2.830 | 77 |
| 0 1 11 | 37.86 | 2.376 | 44 |
| 1 1 6 | 36.52 | 2.460 | 34 |
| 0 0 6 | 17.81 | 4.981 | 29 |
| 2 0 5 | 39.75 | 2.267 | 28 |
| 1 2 5 | 51.66 | 1.769 | 25 |
| 1 2 11 | 60.49 | 1.531 | 23 |
| 2 0 11 | 50.13 | 1.820 | 18 |
| 1 0 16 | 52.42 | 1.746 | 18 |



Starting from a DFT-relaxed cell (PBE, Alexandria), the X-ray diffraction stick pattern of Tb4SmSc2 was calculated for λ = 1.5418 Å (Cu Kα).
Kinematic intensities with the Lorentz-polarization factor, no thermal factor.

abc: 3.5131 3.5131 58.8408
angles: 90.00 90.00 120.00
Space group R-3m (No. 166, hexagonal axes)
Asymmetric unit:
Tb  0.0000  0.0000  0.0993 [6 per cell]
Tb  0.0000  0.0000  0.3830 [6 per cell]
Sm  0.0000  0.0000  0.0000 [3 per cell]
Sc  0.0000  0.0000  0.1879 [6 per cell]

Peak list (10 most intense, 15° ≤ 2θ ≤ 90°, most intense first)
| index | 2θ/deg | d (Å) | I_rel |
| --- | --- | --- | --- |
| 1 0 10 | 33.15 | 2.703 | 100 |
| 0 1 11 | 33.90 | 2.645 | 65 |
| 0 0 21 | 31.94 | 2.802 | 52 |
| 1 1 21 | 62.39 | 1.488 | 52 |
| 1 0 4 | 29.99 | 2.979 | 47 |
| 0 1 8 | 31.83 | 2.811 | 45 |
| 1 1 0 | 52.07 | 1.757 | 45 |
| 0 2 10 | 63.15 | 1.472 | 24 |
| 1 0 31 | 57.20 | 1.610 | 21 |
| 0 1 14 | 36.46 | 2.464 | 21 |



Starting from a DFT-relaxed cell (PBE, Alexandria), the X-ray diffraction stick pattern of CdN was calculated for λ = 1.5418 Å (Cu Kα).
Kinematic intensities with the Lorentz-polarization factor, no thermal factor.

abc: 5.197 3.118 12.837
angles: 90.00 96.47 90.00
Space group C2/m (No. 12)
Asymmetric unit:
Cd  0.193  0.000  0.113 [4 per cell]
N  0.013  0.000  0.544 [4 per cell]

Peak list (10 most intense, 15° ≤ 2θ ≤ 90°, most intense first)
| index | 2θ/deg | d (Å) | I_rel |
| --- | --- | --- | --- |
| 1 1 -2 | 35.70 | 2.515 | 100 |
| 0 0 4 | 27.98 | 3.189 | 66 |
| 0 0 3 | 20.89 | 4.252 | 66 |
| 1 1 3 | 40.96 | 2.204 | 63 |
| 1 1 -1 | 33.91 | 2.644 | 57 |
| 2 0 1 | 36.26 | 2.477 | 50 |
| 1 1 2 | 37.27 | 2.413 | 46 |
| 2 0 -3 | 38.74 | 2.325 | 44 |
| 2 0 0 | 34.73 | 2.583 | 41 |
| 0 0 5 | 35.18 | 2.551 | 39 |



Starting from a DFT-relaxed cell (PBE, Alexandria), the X-ray diffraction stick pattern of Ti8C4O3 was calculated for λ = 1.5418 Å (Cu Kα).
Kinematic intensities with the Lorentz-polarization factor, no thermal factor.

abc: 8.603 8.644 6.072
angles: 90.00 134.84 90.00
Space group C2/m (No. 12)
Asymmetric unit:
Ti  0.000  0.238  0.000 [4 per cell]
Ti  0.000  0.258  0.500 [4 per cell]
Ti  0.243  0.500  0.988 [4 per cell]
Ti  0.249  0.500  0.515 [4 per cell]
C  0.000  0.000  0.000 [2 per cell]
C  0.000  0.500  0.500 [2 per cell]
C  0.250  0.250  0.000 [4 per cell]
O  0.000  0.500  0.000 [2 per cell]
O  0.250  0.250  0.500 [4 per cell]

Peak list (10 most intense, 15° ≤ 2θ ≤ 90°, most intense first)
| index | 2θ/deg | d (Å) | I_rel |
| --- | --- | --- | --- |
| 0 0 2 | 41.99 | 2.152 | 100 |
| 4 0 0 | 60.74 | 1.525 | 70 |
| 2 2 0 | 36.04 | 2.492 | 60 |
| 2 2 -2 | 36.16 | 2.484 | 59 |
| 0 4 0 | 41.80 | 2.161 | 50 |
| 6 2 -2 | 72.76 | 1.300 | 14 |
| 4 0 -4 | 61.04 | 1.518 | 14 |
| 6 2 -4 | 72.98 | 1.296 | 13 |
| 4 4 0 | 76.44 | 1.246 | 13 |
| 2 6 0 | 72.60 | 1.302 | 13 |



Starting from a DFT-relaxed cell (PBE, Alexandria), the X-ray diffraction stick pattern of MgSbH was calculated for λ = 1.5418 Å (Cu Kα).
Kinematic intensities with the Lorentz-polarization factor, no thermal factor.

abc: 3.133 6.204 5.646
angles: 90.00 90.00 90.00
Space group Pmm2 (No. 25)
Asymmetric unit:
Mg  0.000  0.000  0.000 [1 per cell]
Mg  0.500  0.500  0.015 [1 per cell]
Sb  0.000  0.000  0.500 [1 per cell]
Sb  0.000  0.500  0.506 [1 per cell]
H  0.500  0.202  0.999 [2 per cell]

Peak list (10 most intense, 15° ≤ 2θ ≤ 90°, most intense first)
| index | 2θ/deg | d (Å) | I_rel |
| --- | --- | --- | --- |
| 0 0 1 | 15.70 | 5.646 | 100 |
| 1 0 1 | 32.69 | 2.740 | 59 |
| 0 2 0 | 28.78 | 3.102 | 58 |
| 1 2 1 | 44.10 | 2.053 | 49 |
| 0 0 2 | 31.70 | 2.823 | 47 |
| 1 0 0 | 28.49 | 3.133 | 40 |
| 0 2 2 | 43.34 | 2.088 | 38 |
| 0 2 1 | 32.95 | 2.719 | 36 |
| 1 2 0 | 40.94 | 2.204 | 31 |
| 1 2 2 | 52.68 | 1.737 | 30 |



Starting from a DFT-relaxed cell (PBE, Alexandria), the X-ray diffraction stick pattern of LiNbN2 was calculated for λ = 1.5418 Å (Cu Kα).
Kinematic intensities with the Lorentz-polarization factor, no thermal factor.

abc: 6.176 4.253 7.412
angles: 90.00 90.00 90.00
Space group Pnma (No. 62)
Asymmetric unit:
Li  0.076  0.250  0.107 [4 per cell]
Nb  0.080  0.250  0.634 [4 per cell]
N  0.080  0.750  0.603 [4 per cell]
N  0.093  0.750  0.147 [4 per cell]

Peak list (10 most intense, 15° ≤ 2θ ≤ 90°, most intense first)
| index | 2θ/deg | d (Å) | I_rel |
| --- | --- | --- | --- |
| 1 0 1 | 18.70 | 4.745 | 100 |
| 0 1 1 | 24.13 | 3.689 | 90 |
| 1 0 2 | 28.11 | 3.175 | 66 |
| 1 1 2 | 35.26 | 2.546 | 56 |
| 3 0 2 | 50.75 | 1.799 | 48 |
| 0 2 0 | 42.51 | 2.126 | 30 |
| 2 0 1 | 31.38 | 2.851 | 27 |
| 2 0 0 | 28.91 | 3.088 | 26 |
| 3 2 2 | 68.28 | 1.374 | 25 |
| 2 1 0 | 35.94 | 2.499 | 23 |



Starting from a DFT-relaxed cell (PBE, Alexandria), the X-ray diffraction stick pattern of Li5PuO5 was calculated for λ = 1.5418 Å (Cu Kα).
Kinematic intensities with the Lorentz-polarization factor, no thermal factor.

abc: 10.048 4.317 6.058
angles: 90.00 110.71 90.00
Space group C2/m (No. 12)
Asymmetric unit:
Li  0.000  0.000  0.000 [2 per cell]
Li  0.187  0.500  0.363 [4 per cell]
Li  0.212  0.500  0.839 [4 per cell]
Pu  0.000  0.000  0.500 [2 per cell]
O  0.000  0.500  0.500 [2 per cell]
O  0.148  0.000  0.319 [4 per cell]
O  0.168  0.000  0.823 [4 per cell]

Peak list (10 most intense, 15° ≤ 2θ ≤ 90°, most intense first)
| index | 2θ/deg | d (Å) | I_rel |
| --- | --- | --- | --- |
| 0 0 1 | 15.64 | 5.666 | 100 |
| 1 1 0 | 22.67 | 3.923 | 90 |
| 2 0 -1 | 19.83 | 4.478 | 58 |
| 2 0 0 | 18.89 | 4.699 | 47 |
| 1 1 -1 | 25.64 | 3.474 | 46 |
| 1 1 1 | 29.55 | 3.023 | 32 |
| 2 0 1 | 28.65 | 3.116 | 26 |
| 3 1 -1 | 34.37 | 2.609 | 22 |
| 0 2 1 | 44.94 | 2.017 | 21 |
| 4 0 1 | 46.75 | 1.943 | 19 |



Starting from a DFT-relaxed cell (PBE, Alexandria), the X-ray diffraction stick pattern of TbThSc14 was calculated for λ = 1.5418 Å (Cu Kα).
Kinematic intensities with the Lorentz-polarization factor, no thermal factor.

abc: 10.463 6.726 11.556
angles: 90.00 90.00 90.00
Space group Amm2 (No. 38)
Asymmetric unit:
Tb  0.000  0.000  0.000 [2 per cell]
Th  0.000  0.000  0.498 [2 per cell]
Sc  0.000  0.249  0.752 [4 per cell]
Sc  0.252  0.000  0.669 [4 per cell]
Sc  0.257  0.000  0.171 [4 per cell]
Sc  0.258  0.248  0.419 [8 per cell]
Sc  0.500  0.000  0.002 [2 per cell]
Sc  0.500  0.000  0.502 [2 per cell]
Sc  0.500  0.249  0.751 [4 per cell]

Peak list (10 most intense, 15° ≤ 2θ ≤ 90°, most intense first)
| index | 2θ/deg | d (Å) | I_rel |
| --- | --- | --- | --- |
| 2 2 2 | 35.33 | 2.541 | 100 |
| 2 0 4 | 35.50 | 2.529 | 47 |
| 4 0 0 | 34.28 | 2.616 | 34 |
| 1 0 2 | 17.53 | 5.060 | 31 |
| 0 2 2 | 30.76 | 2.906 | 28 |
| 0 0 2 | 15.33 | 5.781 | 21 |
| 6 2 2 | 62.07 | 1.495 | 19 |
| 0 2 6 | 54.94 | 1.671 | 19 |
| 4 2 6 | 66.38 | 1.408 | 18 |
| 2 0 2 | 22.93 | 3.879 | 17 |



Starting from a DFT-relaxed cell (PBE, Alexandria), the X-ray diffraction stick pattern of AcNiB4 was calculated for λ = 1.5418 Å (Cu Kα).
Kinematic intensities with the Lorentz-polarization factor, no thermal factor.

abc: 8.068 9.533 3.654
angles: 90.00 90.00 90.00
Space group Cmmm (No. 65)
Asymmetric unit:
Ac  0.000  0.179  0.000 [4 per cell]
Ni  0.152  0.500  0.000 [4 per cell]
B  0.000  0.407  0.500 [4 per cell]
B  0.207  0.000  0.500 [4 per cell]
B  0.209  0.338  0.500 [8 per cell]

Peak list (10 most intense, 15° ≤ 2θ ≤ 90°, most intense first)
| index | 2θ/deg | d (Å) | I_rel |
| --- | --- | --- | --- |
| 1 3 1 | 39.20 | 2.298 | 100 |
| 1 3 0 | 30.23 | 2.957 | 88 |
| 0 0 1 | 24.36 | 3.654 | 78 |
| 2 0 0 | 22.03 | 4.034 | 53 |
| 2 0 1 | 33.08 | 2.708 | 52 |
| 2 2 1 | 38.22 | 2.355 | 42 |
| 2 2 0 | 29.00 | 3.079 | 41 |
| 1 3 2 | 59.46 | 1.555 | 40 |
| 3 1 1 | 42.82 | 2.112 | 31 |
| 4 2 1 | 55.51 | 1.655 | 29 |



Question: What is the formula in the first record?
Answer: Ho4InBi3